Diffraction record for Tb5Pr8Sc. The X-ray powder pattern is theoretical, not measured: it uses a crystal structure in Alexandria, relaxed with PBE and Cu Ka.

Main lines, in order of rising 2θ (2θ from 5° to 70°):
- 27.7°, I = 48
- 28.8°, I = 58
- 28.9°, I = 75
- 31.2°, I = 25
- 33.3°, I = 100
- 33.9°, I = 34
- 34.2°, I = 42
- 47.4°, I = 16
- 54.1°, I = 28
- 56.3°, I = 14
- 59.9°, I = 16
- 62.1°, I = 20

Atomic structure:
```
Tb5Pr8Sc
1.0
-4.882 4.882 5.122
4.882 -4.882 5.122
4.882 4.882 -5.122
Tb Pr Sc
5 8 1
Direct
0.000 0.000 0.000
0.220 0.321 0.693
0.473 0.780 0.101
0.628 0.527 0.307
0.679 0.372 0.899
0.161 0.434 0.103
0.330 0.058 0.897
0.420 0.157 0.396
0.566 0.670 0.728
0.761 0.024 0.604
0.843 0.239 0.263
0.942 0.839 0.272
0.976 0.580 0.737
0.250 0.750 0.500
```